Structure and theoretical PXRD pattern of ZnF4 (a DFT-relaxed cell (PBE, Alexandria); Cu Kα, 1.54184 Å).
Intensities are scaled so that the largest is 100.

Cell and atoms:
Cell: 6.110 6.110 5.457 Å, 96.38 96.38 56.31°
Positions (direct):
Zn (0.204, 0.204, 0.471)
Zn (0.796, 0.796, 0.529)
F (0.025, 0.025, 0.332)
F (0.025, 0.523, 0.284)
F (0.433, 0.433, 0.975)
F (0.477, 0.975, 0.716)
F (0.523, 0.025, 0.284)
F (0.567, 0.567, 0.025)
F (0.975, 0.477, 0.716)
F (0.975, 0.975, 0.668)

Peak list (10 most intense, 5° ≤ 2θ ≤ 70°, by angle)
2θ (°), intensity
16.38, 100
16.59, 89
21.85, 59
23.30, 23
24.79, 100
31.02, 23
38.26, 33
45.24, 27
45.99, 35
47.64, 29

=====

Structure and theoretical PXRD pattern of PmSc5Sb4 (a DFT-relaxed cell (PBE, Alexandria); Cu Kα, 1.54184 Å).
Intensities are scaled so that the largest is 100.

Cell and atoms:
Cell: 6.980 6.980 5.672 Å, 90.00 90.00 92.08°
Positions (direct):
Pm (0.000, 0.000, 0.000)
Sc (0.000, 0.500, 0.249)
Sc (0.000, 0.500, 0.751)
Sc (0.500, 0.000, 0.249)
Sc (0.500, 0.000, 0.751)
Sc (0.500, 0.500, 0.500)
Sb (0.191, 0.191, 0.500)
Sb (0.331, 0.669, 0.000)
Sb (0.669, 0.331, 0.000)
Sb (0.809, 0.809, 0.500)

Peak list (10 most intense, 5° ≤ 2θ ≤ 70°, by angle)
2θ (°), intensity
23.66, 28
24.16, 100
28.19, 46
32.39, 42
33.14, 28
36.38, 30
37.11, 24
42.00, 71
42.81, 30
64.59, 33

=====

Structure and theoretical PXRD pattern of SrCdGaAu2 (a DFT-relaxed cell (PBE, Alexandria); Cu Kα, 1.54184 Å).
Intensities are scaled so that the largest is 100.

Cell and atoms:
Cell: 6.992 6.992 6.992 Å, 143.64 143.64 52.37°
Positions (direct):
Sr (0.000, 0.000, 0.000)
Cd (0.250, 0.750, 0.500)
Ga (0.750, 0.250, 0.500)
Au (0.389, 0.389, 0.000)
Au (0.611, 0.611, 0.000)

Peak list (10 most intense, 5° ≤ 2θ ≤ 70°, by angle)
2θ (°), intensity
21.56, 100
28.94, 45
29.59, 81
32.34, 95
41.03, 91
41.39, 91
41.51, 86
47.14, 27
51.70, 35
60.03, 88

=====

Structure and theoretical PXRD pattern of Tl8In2Te (a DFT-relaxed cell (PBE, Alexandria); Cu Kα, 1.54184 Å).
Intensities are scaled so that the largest is 100.

Cell and atoms:
Cell: 5.338 8.328 9.283 Å, 116.54 106.69 90.17°
Positions (direct):
Tl (0.000, 0.000, 0.000)
Tl (0.052, 0.574, 0.099)
Tl (0.205, 0.043, 0.407)
Tl (0.359, 0.883, 0.717)
Tl (0.412, 0.407, 0.816)
Tl (0.576, 0.292, 0.146)
Tl (0.704, 0.757, 0.408)
Tl (0.838, 0.556, 0.672)
In (0.541, 0.837, 0.083)
In (0.869, 0.161, 0.731)
Te (0.207, 0.436, 0.409)

Peak list (10 most intense, 5° ≤ 2θ ≤ 70°, by angle)
2θ (°), intensity
27.76, 9
30.21, 41
32.17, 100
32.76, 15
33.58, 34
34.22, 14
48.69, 10
52.40, 11
59.22, 10
63.72, 10

=====

Structure and theoretical PXRD pattern of Zn4ReIr (a DFT-relaxed cell (PBE, Alexandria); Cu Kα, 1.54184 Å).
Intensities are scaled so that the largest is 100.

Cell and atoms:
Cell: 4.892 4.892 4.892 Å, 60.00 60.00 60.00°
Positions (direct):
Zn (0.125, 0.125, 0.125)
Zn (0.125, 0.125, 0.624)
Zn (0.125, 0.624, 0.125)
Zn (0.624, 0.125, 0.125)
Re (0.500, 0.500, 0.500)
Ir (0.750, 0.750, 0.750)

Peak list (7 most intense, 5° ≤ 2θ ≤ 70°, by angle)
2θ (°), intensity
22.26, 16
36.74, 67
43.38, 100
45.41, 14
52.94, 1
58.12, 4
66.17, 24

=====

Structure and theoretical PXRD pattern of AcDy6Tl3 (a DFT-relaxed cell (PBE, Alexandria); Cu Kα, 1.54184 Å).
Intensities are scaled so that the largest is 100.

Cell and atoms:
Cell: 8.650 8.650 8.627 Å, 90.00 90.00 95.85°
Positions (direct):
Ac (0.193, 0.807, 0.500)
Ac (0.807, 0.193, 0.000)
Dy (0.072, 0.433, 0.300)
Dy (0.111, 0.238, 0.658)
Dy (0.238, 0.111, 0.158)
Dy (0.264, 0.736, 0.073)
Dy (0.433, 0.072, 0.800)
Dy (0.480, 0.520, 0.705)
Dy (0.520, 0.480, 0.205)
Dy (0.567, 0.928, 0.300)
Dy (0.736, 0.264, 0.573)
Dy (0.762, 0.889, 0.658)
Dy (0.889, 0.762, 0.158)
Dy (0.928, 0.567, 0.800)
Tl (0.070, 0.930, 0.859)
Tl (0.224, 0.399, 0.956)
Tl (0.399, 0.224, 0.456)
Tl (0.601, 0.776, 0.956)
Tl (0.776, 0.601, 0.456)
Tl (0.930, 0.070, 0.359)

Peak list (10 most intense, 5° ≤ 2θ ≤ 70°, by angle)
2θ (°), intensity
24.45, 26
29.32, 71
29.69, 26
30.85, 27
31.86, 100
32.90, 43
33.56, 68
34.16, 48
37.63, 20
63.27, 20